This entry pairs a crystal structure of Pr11Hg9Rh4 with its calculated X-ray powder pattern. Radiation: Cu Kα. Structure: a GGA-PBE-relaxed structure.

Structure:
Cell: 13.395 13.395 3.829 Å, 90.00 90.00 112.72°
Fractional coordinates of all 24 atoms:
Pr1 0.000 0.000 0.000
Pr2 0.079 0.415 0.000
Pr3 0.165 0.835 0.000
Pr4 0.305 0.305 0.000
Pr5 0.373 0.627 0.000
Pr6 0.415 0.079 0.000
Pr7 0.585 0.921 0.000
Pr8 0.627 0.373 0.000
Pr9 0.695 0.695 0.000
Pr10 0.835 0.165 0.000
Pr11 0.921 0.585 0.000
Hg1 0.069 0.215 0.500
Hg2 0.157 0.632 0.500
Hg3 0.215 0.069 0.500
Hg4 0.368 0.843 0.500
Hg5 0.500 0.500 0.500
Hg6 0.632 0.157 0.500
Hg7 0.785 0.931 0.500
Hg8 0.843 0.368 0.500
Hg9 0.931 0.785 0.500
Rh1 0.250 0.450 0.500
Rh2 0.450 0.250 0.500
Rh3 0.550 0.750 0.500
Rh4 0.750 0.550 0.500

Main lines, by intensity (2θ from 10° to 80°):
2θ 33.62, 2.666 Å, I = 100; 2θ 34.14, 2.626 Å, I = 46; 2θ 47.48, 1.915 Å, I = 19; 2θ 59.78, 1.547 Å, I = 19; 2θ 37.23, 2.415 Å, I = 12; 2θ 31.37, 2.851 Å, I = 11